# 1
Starting from a structure optimized by DFT (PBE+U), the powder diffraction line list of FeO2 was computed for Cu Kα X-rays.

Crystal structure
```
24
Lattice="10.165 0.000 0.000 0.000 2.942 0.000 -0.052 0.000 10.356" Properties=species:S:1:pos:R:3 pbc="T T T"
Fe 1.455 0.000 3.362
Fe 1.717 1.471 6.601
Fe 3.373 0.000 8.714
Fe 3.477 1.471 1.617
Fe 6.636 1.471 8.739
Fe 6.740 0.000 1.642
Fe 8.396 1.471 3.754
Fe 8.658 0.000 6.993
O 0.466 0.000 6.747
O 1.442 1.471 2.117
O 1.659 1.471 4.610
O 2.135 1.471 8.637
O 2.959 0.000 6.650
O 3.391 0.000 0.371
O 3.448 0.000 2.861
O 4.618 1.471 8.653
O 5.495 1.471 1.703
O 6.665 0.000 7.495
O 6.722 0.000 9.985
O 7.154 0.000 3.705
O 7.978 1.471 1.719
O 8.454 1.471 5.746
O 8.671 1.471 8.239
O 9.647 0.000 3.609
```

Principal peaks in the range 2θ from 5° to 70°, in order of rising 2θ:
| 2theta | d/Å | I (rel.) |
| --- | --- | --- |
| 12.20 | 7.254 | 100 |
| 17.13 | 5.178 | 37 |
| 17.45 | 5.082 | 40 |
| 27.31 | 3.266 | 27 |
| 27.68 | 3.223 | 27 |
| 36.21 | 2.481 | 29 |
| 36.35 | 2.472 | 29 |
| 47.65 | 1.909 | 15 |

# 2
Starting from a structure optimized by DFT (PBE+U), the powder diffraction line list of Li9Co7O16 was computed for Cu Kα X-rays.

Crystal structure
```
32
Lattice="8.332 -2.913 0.000 8.332 2.913 0.000 -0.055 0.000 5.870" Properties=species:S:1:pos:R:3 pbc="T T T"
Li 0.000 0.000 0.000
Li -0.027 0.000 2.935
Li 6.241 1.474 4.393
Li 4.137 0.000 2.938
Li 10.367 1.474 1.477
Li 8.332 0.000 0.000
Li 6.241 -1.474 4.393
Li 12.471 0.000 2.933
Li 10.367 -1.474 1.477
Co 6.282 1.478 1.509
Co 4.160 0.000 0.009
Co 10.327 1.478 4.362
Co 8.304 0.000 2.935
Co 6.282 -1.478 1.509
Co 12.448 0.000 5.861
Co 10.327 -1.478 4.362
O 4.208 1.460 1.382
O 2.094 0.000 3.061
O 2.059 0.000 5.821
O 8.239 1.330 1.585
O 8.369 1.330 4.285
O 6.178 0.000 0.123
O 6.375 0.000 2.913
O 12.401 1.460 4.488
O 4.208 -1.460 1.382
O 10.234 0.000 2.958
O 10.430 0.000 5.747
O 8.239 -1.330 1.585
O 8.369 -1.330 4.285
O 14.549 0.000 0.049
O 14.515 0.000 2.809
O 12.401 -1.460 4.488
```

Principal peaks in the range 2θ from 5° to 70°, in order of rising 2θ:
| 2theta | d/Å | I (rel.) |
| --- | --- | --- |
| 18.41 | 4.820 | 100 |
| 35.90 | 2.501 | 14 |
| 36.11 | 2.487 | 28 |
| 37.67 | 2.388 | 12 |
| 43.45 | 2.083 | 28 |
| 43.78 | 2.068 | 55 |
| 63.15 | 1.472 | 15 |
| 63.62 | 1.463 | 15 |

# 3
Starting from a structure optimized by DFT (PBE+U), the powder diffraction line list of Li7Co5O12 was computed for Cu Kα X-rays.

Crystal structure
```
24
Lattice="5.908 0.000 0.000 0.000 2.886 0.000 -2.889 0.000 12.259" Properties=species:S:1:pos:R:3 pbc="T T T"
Li 0.000 0.000 0.000
Li -1.445 1.443 6.130
Li 0.011 0.000 4.073
Li 1.441 1.443 1.935
Li 2.954 0.000 0.000
Li 1.578 1.443 10.324
Li 3.008 0.000 8.186
Co -1.455 1.443 10.300
Co 0.017 0.000 8.183
Co 1.509 1.443 6.130
Co 3.002 0.000 4.076
Co 4.474 1.443 1.959
O -0.180 0.000 2.045
O -1.369 1.443 8.301
O -1.409 1.443 12.082
O 0.085 0.000 6.192
O -0.131 0.000 10.179
O 1.578 1.443 4.129
O 1.441 1.443 8.130
O 3.150 0.000 2.080
O 2.934 0.000 6.067
O 4.428 1.443 0.177
O 4.388 1.443 3.958
O 3.199 0.000 10.214
```

Principal peaks in the range 2θ from 5° to 70°, in order of rising 2θ:
| 2theta | d/Å | I (rel.) |
| --- | --- | --- |
| 7.21 | 12.259 | 18 |
| 18.49 | 4.799 | 100 |
| 36.38 | 2.470 | 37 |
| 43.85 | 2.064 | 53 |
| 44.33 | 2.043 | 25 |
| 57.74 | 1.597 | 9 |
| 64.00 | 1.455 | 14 |
| 64.26 | 1.450 | 13 |

# 4
Starting from a structure optimized by DFT (PBE+U), the powder diffraction line list of VAgP2O7 was computed for Cu Kα X-rays.

Crystal structure
```
44
Lattice="7.458 0.000 0.000 0.000 8.175 0.000 -3.630 0.000 9.048" Properties=species:S:1:pos:R:3 pbc="T T T"
V 0.870 0.057 2.263
V -0.945 4.031 6.787
V 4.773 4.144 2.261
V 2.959 8.119 6.785
Ag -0.962 0.229 6.246
Ag 0.853 3.858 1.722
Ag 2.975 4.317 7.326
Ag 4.790 7.946 2.802
P -0.345 5.791 4.108
P -2.160 6.473 8.632
P 1.198 2.010 4.922
P 3.013 2.078 0.398
P 0.815 6.098 8.650
P 2.630 6.165 4.126
P 5.989 1.703 0.416
P 4.174 2.385 4.940
O -0.988 4.799 3.134
O -2.803 7.465 7.658
O -2.230 5.011 8.147
O -0.415 7.252 3.623
O -0.840 5.671 5.551
O 0.975 6.592 1.027
O 0.958 1.679 3.445
O -0.857 2.409 7.969
O 1.983 1.118 0.921
O 0.168 2.970 5.445
O 1.221 5.360 4.047
O -0.594 6.903 8.571
O 1.347 0.740 5.799
O 3.162 3.348 1.275
O 0.667 4.827 7.773
O 2.482 7.436 3.249
O 4.423 1.272 0.477
O 2.608 2.815 5.001
O 3.661 5.205 3.603
O 1.846 7.058 8.127
O 4.685 5.767 1.079
O 2.871 6.496 5.603
O 2.854 1.584 8.021
O 4.669 2.504 3.497
O 4.243 0.924 5.425
O 6.058 3.164 0.901
O 6.631 0.711 1.390
O 4.816 3.377 5.914
```

Principal peaks in the range 2θ from 5° to 70°, in order of rising 2θ:
| 2theta | d/Å | I (rel.) |
| --- | --- | --- |
| 21.75 | 4.087 | 23 |
| 22.46 | 3.958 | 22 |
| 25.74 | 3.461 | 43 |
| 25.94 | 3.434 | 25 |
| 29.45 | 3.033 | 100 |
| 31.62 | 2.830 | 26 |
| 34.10 | 2.629 | 38 |
| 38.59 | 2.333 | 22 |

# 5
Starting from a structure optimized by DFT (PBE+U), the powder diffraction line list of CoP2O7 was computed for Cu Kα X-rays.

Crystal structure
```
40
Lattice="5.097 0.000 0.000 -0.034 8.720 0.000 -0.010 -2.820 11.961" Properties=species:S:1:pos:R:3 pbc="T T T"
Co 0.000 0.000 0.000
Co -0.022 2.951 5.937
Co 2.524 1.538 11.234
Co 2.530 7.326 5.230
P 0.042 0.034 9.983
P 0.096 -0.090 7.004
P 2.463 1.726 4.216
P 2.484 1.620 1.263
P 2.586 4.473 7.180
P 2.606 4.582 10.177
P 5.006 5.675 3.940
P 5.016 5.565 0.995
O 0.021 4.584 4.978
O 0.035 7.079 1.088
O 0.141 4.996 2.493
O 0.934 4.875 0.126
O 1.006 6.718 4.150
O 1.033 2.132 4.599
O 1.120 0.926 1.328
O 1.445 0.689 9.909
O 1.467 3.432 6.997
O 1.504 -0.540 6.636
O 1.559 5.298 10.996
O 2.374 5.072 8.656
O 2.460 3.055 10.102
O 2.492 5.652 6.242
O 2.591 2.720 0.229
O 2.596 0.205 4.127
O 2.703 2.288 2.718
O 3.484 2.427 5.083
O 3.591 0.592 1.055
O 3.570 5.171 0.619
O 3.645 6.369 3.874
O 3.976 3.802 7.253
O 4.012 1.049 10.163
O 4.018 5.036 10.550
O 4.161 -0.814 6.162
O 4.940 -0.586 8.512
O 5.009 1.429 7.068
O 5.065 -1.132 10.928
```

Principal peaks in the range 2θ from 5° to 70°, in order of rising 2θ:
| 2theta | d/Å | I (rel.) |
| --- | --- | --- |
| 14.81 | 5.980 | 45 |
| 22.47 | 3.956 | 100 |
| 22.74 | 3.910 | 55 |
| 32.13 | 2.786 | 25 |
| 32.43 | 2.761 | 12 |
| 35.22 | 2.548 | 12 |
| 35.49 | 2.529 | 6 |
| 35.62 | 2.521 | 6 |

# 6
Starting from a structure optimized by DFT (PBE+U), the powder diffraction line list of Ba3MgWO6 was computed for Cu Kα X-rays.

Crystal structure
```
11
Lattice="5.237 -3.025 0.000 5.237 3.025 0.000 -3.463 0.000 6.804" Properties=species:S:1:pos:R:3 pbc="T T T"
Ba 0.000 0.000 0.000
Ba 3.522 0.000 5.178
Ba 6.994 0.000 2.546
Mg 0.027 0.000 3.571
W 0.035 0.000 6.305
O 2.677 1.437 0.438
O -1.522 0.000 4.946
O 0.813 1.346 4.935
O 5.154 0.000 0.438
O 2.677 -1.437 0.438
O 0.813 -1.346 4.935
```

Principal peaks in the range 2θ from 5° to 70°, in order of rising 2θ:
| 2theta | d/Å | I (rel.) |
| --- | --- | --- |
| 13.01 | 6.804 | 53 |
| 24.35 | 3.655 | 71 |
| 27.70 | 3.220 | 24 |
| 29.54 | 3.024 | 100 |
| 32.40 | 2.764 | 20 |
| 38.64 | 2.330 | 33 |
| 39.92 | 2.258 | 20 |
| 52.40 | 1.746 | 21 |

- What is the formula in the first record?
  FeO2